For Pm12DyHo2, the GGA-PBE geometry in Alexandria gives the computed powder X-ray diffraction pattern in this record (Cu Kα (λ = 1.5418 Å)).

The 12 most intense peaks (10 to 80 degrees two-theta), low angle first:
index, Position (°2θ), I/Imax
1 1 2, 20.38, 30
1 1 4, 23.86, 38
2 0 2, 28.07, 92
1 1 6, 28.79, 32
2 0 3, 29.21, 44
2 0 4, 30.74, 100
1 1 7, 31.61, 44
0 0 9, 32.26, 92
2 0 5, 32.61, 41
2 2 0, 38.74, 80
2 2 9, 51.27, 43
3 1 8, 52.91, 45

Atomic structure:
```
data_Pm12DyHo2
_cell_length_a 6.574
_cell_length_b 6.574
_cell_length_c 24.980
_cell_angle_alpha 90.00
_cell_angle_beta 90.00
_cell_angle_gamma 90.00
_symmetry_space_group_name_H-M 'P 4/n b m'
_symmetry_Int_Tables_number 125
loop_
_symmetry_equiv_pos_as_xyz
'x,y,z'
'-x,-y,-z'
'-y+1/2,x,z'
'y+1/2,-x,-z'
'-x+1/2,-y+1/2,z'
'x+1/2,y+1/2,-z'
'y,-x+1/2,z'
'-y,x+1/2,-z'
'x,-y+1/2,-z'
'-x,y+1/2,z'
'-y+1/2,-x+1/2,-z'
'y+1/2,x+1/2,z'
'-x+1/2,y,-z'
'x+1/2,-y,z'
'y,x,-z'
'-y,-x,z'
loop_
_atom_site_label
_atom_site_type_symbol
_atom_site_fract_x
_atom_site_fract_y
_atom_site_fract_z
Pm1 Pm 0.000 0.000 0.110
Pm2 Pm 0.083 0.583 0.437
Pm3 Pm 0.250 0.250 0.210
Pm4 Pm 0.250 0.250 0.332
Dy1 Dy 0.250 0.750 0.000
Ho1 Ho 0.250 0.750 0.250
```



For LiPm2Ga4Cu3, the GGA-PBE geometry in Alexandria gives the computed powder X-ray diffraction pattern in this record (Cu Kα (λ = 1.5418 Å)).

The 12 most intense peaks (10 to 80 degrees two-theta), low angle first:
index, Position (°2θ), I/Imax
1 0 1, 22.76, 11
1 1 0, 29.85, 33
1 0 3, 33.93, 83
1 1 2, 34.80, 100
2 0 0, 42.73, 62
1 0 5, 49.83, 35
2 1 3, 55.64, 39
2 2 0, 62.02, 20
1 1 6, 63.15, 12
2 1 5, 67.69, 27
3 0 3, 72.61, 9
3 1 2, 73.12, 22

Atomic structure:
```
data_LiPm2Ga4Cu3
_cell_length_a 4.233
_cell_length_b 4.233
_cell_length_c 10.147
_cell_angle_alpha 90.00
_cell_angle_beta 90.00
_cell_angle_gamma 90.00
_symmetry_space_group_name_H-M 'P -4 m 2'
_symmetry_Int_Tables_number 115
loop_
_symmetry_equiv_pos_as_xyz
'x,y,z'
'y,-x,-z'
'-x,-y,z'
'-y,x,-z'
'-x,y,z'
'-y,-x,-z'
'x,-y,z'
'y,x,-z'
loop_
_atom_site_label
_atom_site_type_symbol
_atom_site_fract_x
_atom_site_fract_y
_atom_site_fract_z
Li1 Li 0.000 0.000 0.000
Pm1 Pm 0.000 0.500 0.749
Ga1 Ga 0.000 0.000 0.500
Ga2 Ga 0.000 0.500 0.133
Ga3 Ga 0.500 0.500 0.500
Cu1 Cu 0.000 0.500 0.370
Cu2 Cu 0.500 0.500 0.000
```



For Zr3Zn3N, the GGA-PBE geometry in Alexandria gives the computed powder X-ray diffraction pattern in this record (Cu Kα (λ = 1.5418 Å)).

The 12 most intense peaks (10 to 80 degrees two-theta), low angle first:
index, Position (°2θ), I/Imax
3 3 1, 32.02, 14
4 2 2, 36.12, 39
3 3 3, 38.39, 100
4 4 0, 41.95, 23
4 4 2, 44.62, 9
6 2 2, 49.63, 6
7 1 1, 53.73, 6
7 3 3, 62.39, 6
6 6 0, 64.95, 38
5 5 5, 66.46, 8
8 4 2, 70.89, 3
9 3 3, 78.04, 19

Atomic structure:
Lattice parameters (Å, degrees): 12.183 12.183 12.183 90.00 90.00 90.00
Space group Fd-3m (No. 227, origin choice 2)
Symmetry-distinct sites (fractional):
Zr (0.061, 0.375, 0.375)
Zn (0.000, 0.000, 0.500)
Zn (0.044, 0.044, 0.706)
N (0.000, 0.000, 0.000)



For Ag4SeBr2, the GGA-PBE geometry in Alexandria gives the computed powder X-ray diffraction pattern in this record (Cu Kα (λ = 1.5418 Å)).

The 12 most intense peaks (10 to 80 degrees two-theta), low angle first:
index, Position (°2θ), I/Imax
0 1 1, 24.69, 79
1 1 0, 24.83, 100
2 0 -1, 25.77, 56
0 0 2, 28.82, 73
1 1 -2, 32.54, 75
2 1 -1, 32.85, 84
3 0 -1, 39.58, 57
0 2 0, 40.70, 93
1 1 2, 43.57, 61
2 1 1, 43.82, 76
1 1 -3, 44.12, 55
3 1 -2, 45.09, 65

Atomic structure:
```
data_Ag4SeBr2
_cell_length_a 6.915
_cell_length_b 4.434
_cell_length_c 7.025
_cell_angle_alpha 90.00
_cell_angle_beta 118.11
_cell_angle_gamma 90.00
_symmetry_space_group_name_H-M 'P 1 2/m 1'
_symmetry_Int_Tables_number 10
loop_
_symmetry_equiv_pos_as_xyz
'x,y,z'
'-x,-y,-z'
'-x,y,-z'
'x,-y,z'
loop_
_atom_site_label
_atom_site_type_symbol
_atom_site_fract_x
_atom_site_fract_y
_atom_site_fract_z
Ag1 Ag 0.054 0.000 0.236
Ag2 Ag 0.426 0.500 0.181
Se1 Se 0.000 0.500 0.000
Br1 Br 0.322 0.000 0.675
```



For Hg3Ge5Br16, the GGA-PBE geometry in Alexandria gives the computed powder X-ray diffraction pattern in this record (Cu Kα (λ = 1.5418 Å)).

The 12 most intense peaks (10 to 80 degrees two-theta), low angle first:
index, Position (°2θ), I/Imax
0 0 2, 12.85, 100
2 0 -1, 13.46, 40
1 1 -1, 13.76, 47
4 0 -2, 27.10, 34
2 2 -2, 27.67, 92
4 0 2, 27.83, 32
2 2 2, 28.03, 46
2 2 -3, 31.23, 45
4 0 3, 31.68, 81
2 2 5, 41.49, 37
6 2 0, 42.80, 77
0 4 0, 43.58, 41

Atomic structure:
```
data_Hg3Ge5Br16
_cell_length_a 14.732
_cell_length_b 8.307
_cell_length_c 13.788
_cell_angle_alpha 90.00
_cell_angle_beta 91.80
_cell_angle_gamma 90.00
_symmetry_space_group_name_H-M 'C 1 m 1'
_symmetry_Int_Tables_number 8
loop_
_symmetry_equiv_pos_as_xyz
'x,y,z'
'x,-y,z'
'x+1/2,y+1/2,z'
'x+1/2,-y+1/2,z'
loop_
_atom_site_label
_atom_site_type_symbol
_atom_site_fract_x
_atom_site_fract_y
_atom_site_fract_z
Hg1 Hg 0.000 0.000 0.000
Hg2 Hg 0.407 0.251 0.515
Ge1 Ge 0.146 0.000 0.259
Ge2 Ge 0.169 0.500 0.526
Ge3 Ge 0.239 0.268 0.028
Ge4 Ge 0.476 0.000 0.762
Br1 Br 0.047 0.266 0.666
Br2 Br 0.067 0.222 0.154
Br3 Br 0.157 0.000 0.903
Br4 Br 0.161 0.500 0.917
Br5 Br 0.234 0.264 0.422
Br6 Br 0.298 0.000 0.166
Br7 Br 0.305 0.500 0.147
Br8 Br 0.317 0.500 0.638
Br9 Br 0.331 0.000 0.654
Br10 Br 0.392 0.254 0.930
Br11 Br 0.474 0.000 0.407
Br12 Br 0.488 0.500 0.418
```



For Dy3Ga7Os2, the GGA-PBE geometry in Alexandria gives the computed powder X-ray diffraction pattern in this record (Cu Kα (λ = 1.5418 Å)).

The 12 most intense peaks (10 to 80 degrees two-theta), low angle first:
index, Position (°2θ), I/Imax
0 0 4, 14.58, 33
1 0 5, 26.69, 60
1 1 0, 27.43, 83
1 1 6, 35.40, 64
1 0 9, 38.67, 59
2 0 0, 39.18, 100
1 1 8, 40.64, 25
2 1 5, 48.04, 25
2 1 9, 56.23, 40
2 2 0, 56.61, 34
3 1 6, 68.57, 18
1 1 18, 76.37, 27

Atomic structure:
```
data_Dy3Ga7Os2
_cell_length_a 4.599
_cell_length_b 4.599
_cell_length_c 24.302
_cell_angle_alpha 90.00
_cell_angle_beta 90.00
_cell_angle_gamma 90.00
_symmetry_space_group_name_H-M 'I 4/m m m'
_symmetry_Int_Tables_number 139
_symmetry_space_group_name_Hall '-I 4 2'
loop_
_atom_site_label
_atom_site_type_symbol
_atom_site_fract_x
_atom_site_fract_y
_atom_site_fract_z
Dy1 Dy 0.000 0.000 0.000
Dy2 Dy 0.000 0.000 0.167
Ga1 Ga 0.000 0.000 0.287
Ga2 Ga 0.000 0.000 0.500
Ga3 Ga 0.000 0.500 0.082
Os1 Os 0.000 0.000 0.386
```



For Re4Tc5, the GGA-PBE geometry in Alexandria gives the computed powder X-ray diffraction pattern in this record (Cu Kα (λ = 1.5418 Å)).

The 12 most intense peaks (10 to 80 degrees two-theta), low angle first:
index, Position (°2θ), I/Imax
0 0 2, 18.15, 19
1 1 2, 37.59, 30
0 3 3, 39.63, 96
1 0 3, 41.99, 98
0 4 2, 42.21, 34
1 3 0, 42.49, 100
0 1 5, 47.48, 21
2 0 0, 65.10, 17
1 4 5, 70.45, 30
1 3 6, 73.17, 15
1 6 3, 74.23, 20
2 3 3, 78.98, 26

Atomic structure:
```
data_Re4Tc5
_cell_length_a 2.866
_cell_length_b 9.526
_cell_length_c 9.775
_cell_angle_alpha 90.00
_cell_angle_beta 90.00
_cell_angle_gamma 90.00
_symmetry_space_group_name_H-M 'I m m m'
_symmetry_Int_Tables_number 71
_symmetry_space_group_name_Hall '-I 2 2'
loop_
_atom_site_label
_atom_site_type_symbol
_atom_site_fract_x
_atom_site_fract_y
_atom_site_fract_z
Re1 Re 0.000 0.147 0.191
Tc1 Tc 0.000 0.207 0.500
Tc2 Tc 0.000 0.500 0.126
Tc3 Tc 0.000 0.500 0.500
```



For SmDy2, the GGA-PBE geometry in Alexandria gives the computed powder X-ray diffraction pattern in this record (Cu Kα (λ = 1.5418 Å)).

The 12 most intense peaks (10 to 80 degrees two-theta), low angle first:
index, Position (°2θ), I/Imax
2 0 2, 28.35, 24
4 0 -2, 31.37, 24
3 1 0, 32.48, 100
6 0 0, 42.79, 16
0 2 0, 50.11, 7
3 1 3, 50.23, 13
7 1 -2, 56.56, 21
7 1 1, 60.36, 15
1 1 -5, 60.46, 7
4 2 1, 61.02, 11
6 0 3, 61.15, 6
10 0 1, 78.94, 7

Atomic structure:
```
data_SmDy2
_cell_length_a 13.030
_cell_length_b 3.641
_cell_length_c 8.484
_cell_angle_alpha 90.00
_cell_angle_beta 103.31
_cell_angle_gamma 90.00
_symmetry_space_group_name_H-M 'C 1 2/m 1'
_symmetry_Int_Tables_number 12
loop_
_symmetry_equiv_pos_as_xyz
'x,y,z'
'-x,-y,-z'
'-x,y,-z'
'x,-y,z'
'x+1/2,y+1/2,z'
'-x+1/2,-y+1/2,-z'
'-x+1/2,y+1/2,-z'
'x+1/2,-y+1/2,z'
loop_
_atom_site_label
_atom_site_type_symbol
_atom_site_fract_x
_atom_site_fract_y
_atom_site_fract_z
Sm1 Sm 0.139 0.000 0.031
Dy1 Dy 0.027 0.500 0.309
Dy2 Dy 0.195 0.000 0.637
```